1.
Structure and theoretical powder diffractogram of Y4Fe3C5 (a GGA-PBE-relaxed structure; Cu Kα X-rays).
Peak positions follow from Bragg's law for the DFT cell and can differ from measured ones.

```
12
Lattice="5.594 -1.868 0.000 5.594 1.868 0.000 -3.931 0.000 8.686" Properties=species:S:1:pos:R:3 pbc="T T T"
Y -0.381 0.000 3.449
Y -0.425 0.000 7.224
Y 7.681 0.000 1.462
Y 7.638 0.000 5.237
Fe 0.000 0.000 0.000
Fe 4.466 0.000 1.437
Fe 2.790 0.000 7.249
C 2.009 0.000 3.381
C 3.214 0.000 2.747
C 5.594 0.000 0.000
C 4.043 0.000 5.939
C 5.247 0.000 5.305
```

Largest 10 diffraction maxima, sorted by position, 2θ = 10–90°:
| 2θ/deg | I/Imax |
| --- | --- |
| 26.01 | 28 |
| 28.49 | 51 |
| 32.12 | 33 |
| 32.28 | 26 |
| 32.60 | 28 |
| 33.97 | 99 |
| 35.09 | 100 |
| 37.36 | 50 |
| 40.28 | 32 |
| 48.75 | 37 |



2.
Structure and theoretical powder diffractogram of Yb2FeC4 (a GGA-PBE-relaxed structure; Cu Kα X-rays).
Peak positions follow from Bragg's law for the DFT cell and can differ from measured ones.

```
14
Lattice="-3.742 4.917 2.500 3.742 -4.917 2.500 3.742 4.917 -2.500" Properties=species:S:1:pos:R:3 pbc="T T T"
Yb 1.194 1.428 0.000
Yb 1.194 -1.428 2.500
Yb 2.548 6.345 0.000
Yb 2.548 3.489 2.500
Fe 3.742 0.000 1.250
Fe 0.000 4.917 1.250
C 4.996 0.782 0.000
C 6.250 1.256 0.000
C 2.508 3.661 0.000
C 1.254 4.135 0.000
C 2.488 0.782 2.500
C 1.234 1.256 2.500
C -2.508 3.661 2.500
C -1.254 4.135 2.500
```

Largest 10 diffraction maxima, sorted by position, 2θ = 10–90°:
| 2θ/deg | I/Imax |
| --- | --- |
| 28.11 | 100 |
| 29.75 | 42 |
| 31.21 | 76 |
| 35.92 | 24 |
| 37.18 | 28 |
| 39.08 | 21 |
| 45.70 | 17 |
| 52.18 | 23 |
| 55.92 | 21 |
| 59.46 | 31 |



3.
Structure and theoretical powder diffractogram of ZnFe22C6 (a GGA-PBE-relaxed structure; Cu Kα X-rays).
Peak positions follow from Bragg's law for the DFT cell and can differ from measured ones.

```
29
Lattice="0.000 5.239 5.239 5.239 0.000 5.239 5.239 5.239 0.000" Properties=species:S:1:pos:R:3 pbc="T T T"
Zn 0.000 0.000 0.000
Fe 1.783 1.783 0.000
Fe 3.456 3.456 0.000
Fe 1.783 0.000 1.783
Fe 5.239 3.456 1.783
Fe 3.456 0.000 3.456
Fe 5.239 1.783 3.456
Fe 6.462 4.017 4.017
Fe 2.620 2.620 2.620
Fe 0.000 1.783 1.783
Fe 3.456 5.239 1.783
Fe 3.456 1.783 5.239
Fe 4.017 4.017 4.017
Fe 6.462 6.462 4.017
Fe 6.462 4.017 6.462
Fe 4.017 6.462 4.017
Fe 4.017 4.017 6.462
Fe 6.462 6.462 6.462
Fe 0.000 3.456 3.456
Fe 1.783 5.239 3.456
Fe 1.783 3.456 5.239
Fe 7.859 7.859 7.859
Fe 4.017 6.462 6.462
C 5.239 5.239 2.932
C 5.239 2.932 5.239
C 7.547 5.239 5.239
C 2.932 5.239 5.239
C 5.239 7.547 5.239
C 5.239 5.239 7.547
```

Largest 10 diffraction maxima, sorted by position, 2θ = 10–90°:
| 2θ/deg | I/Imax |
| --- | --- |
| 38.42 | 21 |
| 42.25 | 28 |
| 44.95 | 100 |
| 49.19 | 22 |
| 51.60 | 24 |
| 52.39 | 12 |
| 58.42 | 6 |
| 77.26 | 21 |
| 79.16 | 12 |
| 84.17 | 6 |



4.
Structure and theoretical powder diffractogram of GaC6 (a GGA-PBE-relaxed structure; Cu Kα X-rays).
Peak positions follow from Bragg's law for the DFT cell and can differ from measured ones.

```
7
Lattice="5.399 0.000 0.000 0.000 5.399 0.000 0.000 0.000 5.399" Properties=species:S:1:pos:R:3 pbc="T T T"
Ga 0.000 0.000 0.000
C 0.000 0.000 2.066
C 0.000 0.000 3.333
C 0.000 2.066 0.000
C 0.000 3.333 0.000
C 2.066 0.000 0.000
C 3.333 0.000 0.000
```

Largest 10 diffraction maxima, sorted by position, 2θ = 10–90°:
| 2θ/deg | I/Imax |
| --- | --- |
| 16.42 | 100 |
| 23.30 | 29 |
| 33.18 | 22 |
| 37.24 | 30 |
| 40.94 | 7 |
| 47.64 | 10 |
| 50.72 | 14 |
| 53.68 | 12 |
| 61.97 | 10 |
| 64.58 | 9 |



5.
Structure and theoretical powder diffractogram of GaGeC (a GGA-PBE-relaxed structure; Cu Kα X-rays).
Peak positions follow from Bragg's law for the DFT cell and can differ from measured ones.

```
3
Lattice="3.205 0.000 0.000 0.000 4.230 0.000 -0.968 0.000 3.233" Properties=species:S:1:pos:R:3 pbc="T T T"
Ga 0.000 0.000 0.000
Ge 1.119 2.339 1.617
C -0.484 1.160 1.617
```

Largest 10 diffraction maxima, sorted by position, 2θ = 10–90°:
| 2θ/deg | I/Imax |
| --- | --- |
| 34.01 | 47 |
| 34.93 | 100 |
| 36.15 | 91 |
| 42.75 | 22 |
| 46.24 | 20 |
| 55.72 | 26 |
| 56.96 | 14 |
| 60.66 | 20 |
| 63.06 | 17 |
| 64.79 | 16 |



6.
Structure and theoretical powder diffractogram of GaH6C2SeI3 (a GGA-PBE-relaxed structure; Cu Kα X-rays).
Peak positions follow from Bragg's law for the DFT cell and can differ from measured ones.

```
52
Lattice="8.043 0.000 0.000 0.000 13.636 0.000 -6.041 0.000 12.197" Properties=species:S:1:pos:R:3 pbc="T T T"
Ga -0.469 2.727 4.252
Ga -3.489 4.091 10.350
Ga 5.491 9.545 1.847
Ga 2.470 10.909 7.945
H -4.512 8.279 10.184
H -1.492 12.175 4.085
H -4.295 9.923 10.906
H -1.275 10.532 4.808
H 0.080 8.491 3.702
H -2.940 11.964 9.801
H 0.886 8.513 2.086
H -2.134 11.942 8.184
H -2.893 8.775 10.796
H 0.127 11.680 4.697
H 1.607 9.437 3.454
H -1.414 11.018 9.552
H 3.415 2.618 2.645
H 0.395 4.200 8.743
H 1.874 1.957 7.500
H 4.895 4.862 1.401
H 4.136 1.695 4.013
H 1.115 5.123 10.111
H 4.942 1.672 2.396
H 1.921 5.146 8.495
H 3.276 3.105 7.389
H 6.297 3.714 1.291
H 3.493 1.461 8.112
H 6.514 5.357 2.013
C -3.824 9.118 10.332
C -0.804 11.337 4.233
C 0.676 9.081 2.998
C -2.344 11.373 9.097
C 4.346 2.263 3.100
C 1.325 4.555 9.199
C 2.805 2.300 7.964
C 5.826 4.518 1.865
Se -3.369 9.792 8.547
Se -0.349 10.663 2.448
Se 2.350 2.973 9.749
Se 5.371 3.845 3.650
I 0.195 1.252 2.267
I -2.825 5.566 8.365
I -1.088 1.423 6.368
I 1.932 5.395 0.269
I -1.920 2.115 10.772
I 1.101 4.703 4.673
I 0.901 8.933 7.524
I 3.922 11.522 1.425
I 0.069 8.241 11.928
I 3.090 12.213 5.829
I 4.827 8.070 3.832
I 1.806 12.385 9.930
```

Largest 10 diffraction maxima, sorted by position, 2θ = 10–90°:
| 2θ/deg | I/Imax |
| --- | --- |
| 12.96 | 35 |
| 13.90 | 100 |
| 15.92 | 42 |
| 17.15 | 60 |
| 22.84 | 58 |
| 23.13 | 56 |
| 23.35 | 84 |
| 23.70 | 74 |
| 25.53 | 36 |
| 29.89 | 49 |



7.
Structure and theoretical powder diffractogram of HfGa3C (a GGA-PBE-relaxed structure; Cu Kα X-rays).
Peak positions follow from Bragg's law for the DFT cell and can differ from measured ones.

```
5
Lattice="4.329 0.000 0.000 0.000 4.329 0.000 0.000 0.000 4.329" Properties=species:S:1:pos:R:3 pbc="T T T"
Hf 0.000 0.000 0.000
Ga 0.000 2.164 2.164
Ga 2.164 0.000 2.164
Ga 2.164 2.164 0.000
C 2.164 2.164 2.164
```

Largest 10 diffraction maxima, sorted by position, 2θ = 10–90°:
| 2θ/deg | I/Imax |
| --- | --- |
| 20.52 | 16 |
| 29.17 | 22 |
| 35.93 | 100 |
| 41.73 | 55 |
| 46.93 | 8 |
| 51.73 | 9 |
| 60.49 | 36 |
| 72.40 | 38 |
| 76.18 | 12 |
| 83.57 | 5 |



8.
Structure and theoretical powder diffractogram of Ho4TlGaC (a GGA-PBE-relaxed structure; Cu Kα X-rays).
Peak positions follow from Bragg's law for the DFT cell and can differ from measured ones.

```
14
Lattice="3.455 -7.322 0.000 3.455 7.322 0.000 0.000 0.000 6.916" Properties=species:S:1:pos:R:3 pbc="T T T"
Ho 1.728 3.661 0.000
Ho 1.728 3.661 3.458
Ho 3.455 6.155 5.187
Ho 3.455 1.277 5.187
Ho 1.728 -3.661 0.000
Ho 1.728 -3.661 3.458
Ho 3.455 -1.277 1.729
Ho 3.455 -6.155 1.729
Tl 3.455 1.723 1.729
Tl 3.455 -1.723 5.187
Ga 3.455 5.482 1.729
Ga 3.455 -5.482 5.187
C 3.455 3.695 5.187
C 3.455 -3.695 1.729
```

Largest 10 diffraction maxima, sorted by position, 2θ = 10–90°:
| 2θ/deg | I/Imax |
| --- | --- |
| 12.09 | 13 |
| 25.78 | 18 |
| 28.56 | 66 |
| 35.73 | 100 |
| 36.78 | 78 |
| 53.00 | 46 |
| 61.29 | 16 |
| 65.55 | 32 |
| 66.26 | 13 |
| 89.75 | 13 |



9.
Structure and theoretical powder diffractogram of Ga2ReIrC (a GGA-PBE-relaxed structure; Cu Kα X-rays).
Peak positions follow from Bragg's law for the DFT cell and can differ from measured ones.

```
5
Lattice="4.867 0.000 0.000 0.000 4.867 0.000 0.000 0.000 3.833" Properties=species:S:1:pos:R:3 pbc="T T T"
Ga 0.000 2.434 0.000
Ga 2.434 0.000 0.000
Re 0.000 0.000 0.000
Ir 2.434 2.434 1.917
C 0.000 0.000 1.917
```

Largest 10 diffraction maxima, sorted by position, 2θ = 10–90°:
| 2θ/deg | I/Imax |
| --- | --- |
| 25.89 | 30 |
| 29.66 | 100 |
| 35.04 | 13 |
| 36.94 | 61 |
| 47.43 | 15 |
| 48.07 | 55 |
| 53.23 | 21 |
| 61.59 | 27 |
| 74.03 | 16 |
| 74.52 | 15 |



10.
Structure and theoretical powder diffractogram of KGaC (a GGA-PBE-relaxed structure; Cu Kα X-rays).
Peak positions follow from Bragg's law for the DFT cell and can differ from measured ones.

```
6
Lattice="5.332 0.000 0.000 0.000 4.416 0.000 -2.650 0.000 6.083" Properties=species:S:1:pos:R:3 pbc="T T T"
K 0.006 0.000 1.729
K 2.677 0.000 4.354
Ga 0.011 2.208 4.701
Ga 2.672 2.208 1.382
C 2.666 0.672 0.000
C 2.666 3.744 0.000
```

Largest 10 diffraction maxima, sorted by position, 2θ = 10–90°:
| 2θ/deg | I/Imax |
| --- | --- |
| 18.16 | 41 |
| 27.22 | 100 |
| 29.37 | 34 |
| 33.61 | 40 |
| 34.41 | 65 |
| 40.87 | 18 |
| 45.86 | 28 |
| 51.12 | 18 |
| 53.91 | 15 |
| 56.30 | 12 |